Entry 1:
Theoretical X-ray diffraction stick pattern
Compound: La2MgP3Rh12
Radiation: Cu Kα X-rays
Structure: a crystal structure in Alexandria, relaxed with GGA-PBE
No peak broadening, texture or thermal motion is included.

Crystal structure
a b c (Å): 8.8058 8.8058 13.3616
angles (deg): 90.00 90.00 120.00
Space group R-3m (No. 166, hexagonal axes)
Symmetry-distinct sites (fractional):
La 0.0000 0.0000 0.1180 (multiplicity 6)
Mg 0.0000 0.0000 0.5000 (multiplicity 3)
P 0.0000 0.5000 0.0000 (multiplicity 9)
Rh 0.0078 0.5039 0.8317 (multiplicity 18)
Rh 0.0403 0.5202 0.3731 (multiplicity 18)

Peak list (10 most intense, 5° ≤ 2θ ≤ 70°, in order of rising 2θ)
- hkl 1 0 1, 13.37°, I = 11
- hkl 2 1 1, 31.76°, I = 14
- hkl 1 2 2, 33.87°, I = 20
- hkl 0 1 5, 35.60°, I = 23
- hkl 0 2 4, 35.74°, I = 67
- hkl 2 2 0, 41.00°, I = 100
- hkl 2 0 5, 41.25°, I = 13
- hkl 4 0 4, 55.46°, I = 24
- hkl 2 2 6, 59.00°, I = 14
- hkl 2 3 5, 63.56°, I = 13

Entry 2:
Theoretical X-ray diffraction stick pattern
Compound: AcCe3In4
Radiation: Cu Kα X-rays
Structure: a crystal structure in Alexandria, relaxed with GGA-PBE
No peak broadening, texture or thermal motion is included.

Crystal structure
a b c (Å): 11.0618 7.2928 5.8196
angles (deg): 90.00 90.00 90.00
Space group Pmma (No. 51)
Symmetry-distinct sites (fractional):
Ac 0.0000 0.0000 0.0000 (multiplicity 2)
Ce 0.0000 0.5000 0.0000 (multiplicity 2)
Ce 0.2500 0.0000 0.3805 (multiplicity 2)
Ce 0.2500 0.5000 0.3511 (multiplicity 2)
In 0.0000 0.2645 0.5000 (multiplicity 4)
In 0.2500 0.2657 0.8529 (multiplicity 4)

Peak list (10 most intense, 5° ≤ 2θ ≤ 70°, in order of rising 2θ)
- hkl 1 2 1, 30.03°, I = 24
- hkl 1 0 2, 31.80°, I = 17
- hkl 4 0 0, 32.37°, I = 39
- hkl 2 2 1, 33.21°, I = 100
- hkl 2 0 2, 34.84°, I = 25
- hkl 3 2 1, 38.00°, I = 13
- hkl 0 2 3, 53.51°, I = 16
- hkl 6 2 1, 58.28°, I = 20
- hkl 4 4 0, 60.86°, I = 12
- hkl 4 2 3, 63.94°, I = 19

Entry 3:
Theoretical X-ray diffraction stick pattern
Compound: BaCdAs2Br
Radiation: Cu Kα X-rays
Structure: a crystal structure in Alexandria, relaxed with GGA-PBE
No peak broadening, texture or thermal motion is included.

Crystal structure
a b c (Å): 5.1316 5.1316 6.0871
angles (deg): 90.00 90.00 90.00
Space group P4/mmm (No. 123)
Symmetry-distinct sites (fractional):
Ba 0.0000 0.0000 0.0000 (multiplicity 1)
Cd 0.5000 0.5000 0.5000 (multiplicity 1)
As 0.0000 0.5000 0.5000 (multiplicity 2)
Br 0.5000 0.5000 0.0000 (multiplicity 1)

Peak list (10 most intense, 5° ≤ 2θ ≤ 70°, in order of rising 2θ)
- hkl 1 0 1, 22.66°, I = 70
- hkl 1 1 0, 24.53°, I = 32
- hkl 1 1 1, 28.64°, I = 94
- hkl 0 0 2, 29.35°, I = 80
- hkl 2 0 0, 34.97°, I = 100
- hkl 2 1 1, 42.08°, I = 27
- hkl 2 0 2, 46.28°, I = 89
- hkl 2 2 0, 50.29°, I = 35
- hkl 3 1 1, 58.90°, I = 24
- hkl 2 2 2, 59.30°, I = 42

Entry 4:
Theoretical X-ray diffraction stick pattern
Compound: K2OsO4
Radiation: Cu Kα X-rays
Structure: a crystal structure in Alexandria, relaxed with GGA-PBE
No peak broadening, texture or thermal motion is included.

Crystal structure
a b c (Å): 8.9628 8.9895 8.0657
angles (deg): 90.00 90.00 90.00
Space group Fmm2 (No. 42)
Symmetry-distinct sites (fractional):
K 0.2500 0.2500 0.0000 (multiplicity 8)
Os 0.0000 0.0000 0.2506 (multiplicity 4)
O 0.0000 0.1904 0.1822 (multiplicity 8)
O 0.1909 0.0000 0.3191 (multiplicity 8)

Peak list (10 most intense, 5° ≤ 2θ ≤ 70°, in order of rising 2θ)
- hkl 1 1 1, 17.78°, I = 100
- hkl 0 2 0, 19.78°, I = 11
- hkl 0 0 2, 22.04°, I = 7
- hkl 2 2 0, 28.12°, I = 18
- hkl 2 0 2, 29.78°, I = 51
- hkl 3 1 1, 33.47°, I = 28
- hkl 1 1 3, 36.29°, I = 14
- hkl 3 1 3, 46.53°, I = 13
- hkl 4 2 2, 50.81°, I = 19
- hkl 2 2 4, 53.87°, I = 9

Entry 5:
Theoretical X-ray diffraction stick pattern
Compound: YHI2
Radiation: Cu Kα X-rays
Structure: a crystal structure in Alexandria, relaxed with GGA-PBE
No peak broadening, texture or thermal motion is included.

Crystal structure
a b c (Å): 4.0073 4.0073 8.5342
angles (deg): 77.01 76.57 60.00
Space group P1 (No. 1)
Symmetry-distinct sites (fractional):
Y 0.0000 0.0000 0.0000 (multiplicity 1)
H 0.6664 0.6668 0.9999 (multiplicity 1)
I 0.2454 0.2539 0.2574 (multiplicity 1)
I 0.4210 0.4128 0.7426 (multiplicity 1)

Peak list (10 most intense, 5° ≤ 2θ ≤ 70°, in order of rising 2θ)
- hkl 0 0 1, 10.75°, I = 51
- hkl 0 0 2, 21.59°, I = 37
- hkl 0 1 0, 25.93°, I = 100
- hkl 1 1 2, 29.60°, I = 57
- hkl 1 0 2, 31.43°, I = 93
- hkl 0 1 2, 31.67°, I = 47
- hkl 0 1 -2, 36.12°, I = 28
- hkl 1 0 -2, 36.41°, I = 52
- hkl 0 0 4, 44.00°, I = 26
- hkl 2 1 1, 45.26°, I = 74

Entry 6:
Theoretical X-ray diffraction stick pattern
Compound: Pu3Th2N8
Radiation: Cu Kα X-rays
Structure: a crystal structure in Alexandria, relaxed with GGA-PBE
No peak broadening, texture or thermal motion is included.

Crystal structure
a b c (Å): 6.4680 3.7787 8.9596
angles (deg): 90.00 109.78 90.00
Space group P2/m (No. 10)
Symmetry-distinct sites (fractional):
Pu 0.0000 0.0000 0.0000 (multiplicity 1)
Pu 0.2515 0.5000 0.3373 (multiplicity 2)
Th 0.2549 0.0000 0.6974 (multiplicity 2)
N 0.0748 0.5000 0.8298 (multiplicity 2)
N 0.1369 0.0000 0.4159 (multiplicity 2)
N 0.2911 0.0000 0.1598 (multiplicity 2)
N 0.4011 0.5000 0.6119 (multiplicity 2)

Peak list (10 most intense, 5° ≤ 2θ ≤ 70°, in order of rising 2θ)
- hkl 2 0 -1, 27.59°, I = 20
- hkl 1 1 -1, 27.92°, I = 32
- hkl 2 0 0, 29.35°, I = 20
- hkl 2 0 -2, 29.83°, I = 20
- hkl 1 1 1, 31.54°, I = 63
- hkl 0 0 3, 31.87°, I = 100
- hkl 0 2 0, 48.16°, I = 17
- hkl 3 1 -1, 48.83°, I = 29
- hkl 1 1 4, 56.35°, I = 22
- hkl 3 1 -4, 56.73°, I = 15